Diffraction record for Pr2Y2CBr3Cl2. The XRD peak list is calculated, not measured: it uses DFT lattice parameters and positions (PBE) and Cu Kα, 1.54184 Å.

Peak list (10 most intense, 10 to 80 degrees two-theta, sorted by position)
h k l, Position (°2θ), Rel. int.
2 0 0, 10.14, 54.6
0 0 1, 10.69, 62.8
6 0 0, 30.74, 44.4
1 1 -2, 31.12, 100.0
5 1 -1, 34.31, 24.9
5 1 0, 34.48, 22.1
2 0 -4, 42.56, 17.5
5 1 2, 44.18, 27.6
7 1 -2, 44.44, 26.9
0 2 0, 46.55, 17.9

Structural model:
```
data_Pr2Y2CBr3Cl2
_chemical_formula_sum 'Pr4 Y4 C2 Br6 Cl4'
_cell_length_a 17.9270
_cell_length_b 3.9021
_cell_length_c 8.4983
_cell_angle_alpha 90.00
_cell_angle_beta 103.24
_cell_angle_gamma 90.00
_space_group_name_H-M_alt 'C 1 2/m 1'
_space_group_IT_number 12
_space_group_name_Hall '-C 2y'
loop_
_atom_site_label
_atom_site_fract_x
_atom_site_fract_y
_atom_site_fract_z
_atom_site_occupancy
Pr1 0.0006 0.0000 0.2074 1
Y1 0.1383 0.5000 0.0705 1
C1 0.0000 0.5000 0.0000 1
Br1 0.0000 0.5000 0.5000 1
Br2 0.1745 0.0000 0.8440 1
Cl1 0.1658 0.0000 0.3007 1
```